# 1
# Li5WNO4
Theoretical powder X-ray diffraction pattern, CuKα. Input: a crystal structure in Alexandria, relaxed with GGA+U.
Lines closer than 0.1° are merged.

Top 10 peaks for 2θ = 10–90°, in order of rising 2θ:
index	Position (°2θ)	d [Å]	I (rel.)
0 0 2	18.2	4.880	42
2 0 0	19.1	4.655	30
1 1 1	22.2	4.003	100
2 0 2	26.5	3.368	39
1 1 2	27.3	3.263	12
1 1 3	34.3	2.614	16
3 1 1	35.3	2.542	14
2 0 4	41.8	2.161	12
3 1 3	44.3	2.047	23
2 0 6	60.2	1.536	11

```
data_Li5WNO4
_chemical_formula_sum 'Li20 W4 N4 O16'
_symmetry_space_group_name_H-M 'C m c 21'
_symmetry_Int_Tables_number 36
_cell_length_a 9.3096
_cell_length_b 4.9778
_cell_length_c 9.7591
_cell_angle_alpha 90.00
_cell_angle_beta 90.00
_cell_angle_gamma 90.00
loop_
_symmetry_equiv_pos_as_xyz
'x,y,z'
'-x,-y,z+1/2'
'-x,y,z'
'x,-y,z+1/2'
'x+1/2,y+1/2,z'
'-x+1/2,-y+1/2,z+1/2'
'-x+1/2,y+1/2,z'
'x+1/2,-y+1/2,z+1/2'
loop_
_atom_site_label
_atom_site_type_symbol
_atom_site_fract_x
_atom_site_fract_y
_atom_site_fract_z
_atom_site_occupancy
Li1 Li 0.0000 0.0807 0.0000 1
Li2 Li 0.1925 0.1365 0.7739 1
Li3 Li 0.2175 0.4795 0.5252 1
W1 W 0.0000 0.3149 0.2808 1
N1 N 0.0000 0.3265 0.7999 1
O1 O 0.1460 0.2284 0.1412 1
O2 O 0.1474 0.1861 0.4083 1
```

# 2
# LiMn4Co2O12
Theoretical powder X-ray diffraction pattern, CuKα. Input: a crystal structure in Alexandria, relaxed with GGA+U.
Lines closer than 0.1° are merged.

Top 10 peaks for 2θ = 10–90°, in order of rising 2θ:
index	Position (°2θ)	d [Å]	I (rel.)
0 0 2	17.2	5.151	100
3 1 -1	36.7	2.446	10
3 1 1	37.4	2.403	11
0 2 2	40.2	2.241	12
3 1 -3	44.0	2.056	12
3 1 3	45.8	1.982	11
0 2 4	51.0	1.790	10
3 1 -5	56.9	1.619	7
3 1 5	59.3	1.559	7
3 3 -1	65.3	1.428	6

```
data_LiMn4Co2O12
_chemical_formula_sum 'Li2 Mn8 Co4 O24'
_symmetry_space_group_name_H-M 'C 1 2 1'
_symmetry_Int_Tables_number 5
_cell_length_a 8.6544
_cell_length_b 4.9773
_cell_length_c 10.3122
_cell_angle_alpha 90.00
_cell_angle_beta 92.56
_cell_angle_gamma 90.00
loop_
_symmetry_equiv_pos_as_xyz
'x,y,z'
'-x,y,-z'
'x+1/2,y+1/2,z'
'-x+1/2,y+1/2,-z'
loop_
_atom_site_label
_atom_site_type_symbol
_atom_site_fract_x
_atom_site_fract_y
_atom_site_fract_z
_atom_site_occupancy
Li1 Li 0.0000 0.0000 0.0000 1
Mn1 Mn 0.0732 0.6108 0.2508 1
Mn2 Mn 0.0943 0.1123 0.7437 1
Co1 Co 0.2398 0.1110 0.2502 1
O1 O 0.0670 0.2686 0.1543 1
O2 O 0.0819 0.9450 0.3449 1
O3 O 0.0906 0.4509 0.6554 1
O4 O 0.0970 0.7841 0.8461 1
O5 O 0.2350 0.7810 0.1564 1
O6 O 0.2428 0.4384 0.3443 1
```